Entry 1:
Starting from a DFT-relaxed cell (PBE, the Materials Project), the XRD peak list of CaAl2SiO6 was simulated for Cu Kα (weighted mean of Kα1 and Kα2).
Intensities are scaled so that the largest is 100.

Principal peaks in the range 2θ = 5–70°, by intensity:
h k l	2θ/deg	I/Imax
1 -2 1	29.93	100
1 2 -3	35.88	97
1 2 1	30.09	96
2 0 -2	35.08	79
0 1 3	30.42	56
1 1 2	30.88	40
1 -1 2	30.78	39
-1 1 4	39.18	37
0 2 -2	27.93	33
2 0 -6	60.66	32
1 3 2	42.90	26
1 -3 0	35.35	24

Atomic structure:
Unit cell a=5.3305 b=8.7388 c=9.7146 alpha=90.10 beta=105.49 gamma=90.24
Space group P1 (No. 1)
Unique sites:
Ca 0.0000 0.0000 0.0000 [1 per cell]
Ca 0.0136 0.1263 0.5167 [1 per cell]
Ca 0.4995 0.6221 0.9998 [1 per cell]
Ca 0.5136 0.5010 0.5171 [1 per cell]
Al 0.0035 0.4060 0.9989 [1 per cell]
Al 0.0204 0.7197 0.5079 [1 per cell]
Al 0.1768 0.4094 0.7158 [1 per cell]
Al 0.1812 0.7141 0.2186 [1 per cell]
Al 0.5060 0.2224 0.0012 [1 per cell]
Al 0.5178 0.9014 0.5050 [1 per cell]
Al 0.6755 0.2142 0.7142 [1 per cell]
Al 0.8298 0.7152 0.7863 [1 per cell]
Si 0.3242 0.2149 0.2905 [1 per cell]
Si 0.3329 0.9089 0.7944 [1 per cell]
Si 0.6811 0.9091 0.2118 [1 per cell]
Si 0.8241 0.4070 0.2890 [1 per cell]
O 0.1124 0.3231 0.3483 [1 per cell]
O 0.1385 0.7997 0.8592 [1 per cell]
O 0.2013 0.5402 0.1353 [1 per cell]
O 0.2130 0.5873 0.6401 [1 per cell]
O 0.2435 0.2194 0.1155 [1 per cell]
O 0.2436 0.9015 0.6169 [1 per cell]
O 0.2760 0.3854 0.9062 [1 per cell]
O 0.2773 0.7400 0.4064 [1 per cell]
O 0.3166 0.0745 0.8698 [1 per cell]
O 0.3207 0.0551 0.3728 [1 per cell]
O 0.3657 0.2881 0.6393 [1 per cell]
O 0.3879 0.8372 0.1491 [1 per cell]
O 0.6130 0.3007 0.3500 [1 per cell]
O 0.6240 0.8368 0.8568 [1 per cell]
O 0.7005 0.0766 0.1401 [1 per cell]
O 0.7117 0.0386 0.6337 [1 per cell]
O 0.7357 0.3939 0.1145 [1 per cell]
O 0.7443 0.7310 0.5976 [1 per cell]
O 0.7741 0.8976 0.3887 [1 per cell]
O 0.7764 0.2309 0.9068 [1 per cell]
O 0.8085 0.5448 0.8743 [1 per cell]
O 0.8282 0.5707 0.3668 [1 per cell]
O 0.8653 0.3375 0.6390 [1 per cell]
O 0.8725 0.7984 0.1466 [1 per cell]


Entry 2:
Starting from a DFT-relaxed cell (PBE, the Materials Project), the XRD peak list of IrRu2N10Cl10 was simulated for Cu Kα (weighted mean of Kα1 and Kα2).
Intensities are scaled so that the largest is 100.

Principal peaks in the range 2θ = 5–70°, by intensity:
h k l	2θ/deg	I/Imax
1 1 1	15.23	100
0 2 0	19.96	46
1 1 -1	12.93	45
1 1 -2	15.54	45
0 0 2	11.89	40
2 0 -3	19.68	26
1 1 -4	24.65	23
1 1 3	24.19	16
3 1 0	26.34	15
4 0 -1	31.10	13
0 0 5	30.03	12
0 0 7	42.44	12

Atomic structure:
Unit cell a=11.6522 b=8.8965 c=15.8066 alpha=90.00 beta=109.61 gamma=90.00
Space group C2/m (No. 12)
Unique sites:
Ir 0.0000 0.0000 0.0000 [2 per cell]
Ru 0.1317 0.5000 0.4123 [4 per cell]
N 0.0038 0.5000 0.6961 [4 per cell]
N 0.1217 0.3461 0.4729 [8 per cell]
N 0.2156 0.4374 0.1624 [8 per cell]
Cl 0.0000 0.2576 0.0000 [4 per cell]
Cl 0.0233 0.0000 0.1522 [4 per cell]
Cl 0.1491 0.5000 0.7249 [4 per cell]
Cl 0.1847 0.0000 0.6064 [4 per cell]
Cl 0.2075 0.0000 0.0355 [4 per cell]


Entry 3:
Starting from a DFT-relaxed cell (PBE, the Materials Project), the XRD peak list of K2TiAgF6 was simulated for Cu Kα (weighted mean of Kα1 and Kα2).
Intensities are scaled so that the largest is 100.

Principal peaks in the range 2θ = 5–70°, by intensity:
h k l	2θ/deg	I/Imax
2 2 0	28.64	100
4 0 0	40.95	53
2 0 0	20.15	41
4 2 2	50.74	35
4 4 0	59.30	29
6 2 0	67.16	17
4 2 0	46.05	16
3 1 1	33.72	15
3 3 1	44.82	12
1 1 1	17.42	10
6 0 0	63.30	7
3 3 3	54.06	4

Atomic structure:
Unit cell a=8.8151 b=8.8151 c=8.8151 alpha=90.00 beta=90.00 gamma=90.00
Space group Fm-3m (No. 225)
Unique sites:
K 0.2500 0.2500 0.2500 [8 per cell]
Ti 0.0000 0.0000 0.0000 [4 per cell]
Ag 0.0000 0.0000 0.5000 [4 per cell]
F 0.0000 0.0000 0.2253 [24 per cell]